For Ta3Nb3B4, a GGA-PBE-relaxed structure gives the simulated powder X-ray diffraction pattern in this record (Cu Ka).

Atomic structure:
Lattice parameters (Å, degrees): 3.3002 8.7863 8.8234 90.00 90.00 90.00
Space group Amm2 (No. 38)
One atom of each set of equivalent atoms:
Ta1 0.0000 0.0000 0.0000 x2
Ta2 0.0000 0.1776 0.6781 x4
Nb1 0.0000 0.0000 0.3554 x2
Nb2 0.5000 0.2493 0.4278 x4
B1 0.5000 0.0000 0.5734 x2
B2 0.5000 0.0000 0.7850 x2
B3 0.5000 0.1067 0.1764 x4

Largest 12 diffraction maxima, low angle first, 10 to 90 degrees two-theta:
d_spacing, 2θ/deg, I_rel, (hkl)
3.300, 27.02, 31, 1 0 0
2.789, 32.09, 40, 0 1 3
2.780, 32.20, 50, 0 3 1
2.642, 33.94, 39, 1 0 2
2.265, 39.81, 95, 1 2 2
2.128, 42.48, 100, 1 3 1
1.971, 46.04, 22, 0 2 4
1.966, 46.17, 19, 0 4 2
1.650, 55.70, 18, 2 0 0
1.419, 65.79, 24, 2 3 1
1.374, 68.25, 17, 1 3 5
1.265, 75.12, 19, 2 2 4